This entry pairs a crystal structure of CsCr2HgO8 with its computed PXRD pattern. Radiation: a wavelength of 1.5418 Å. Structure: DFT lattice parameters and positions (PBE+U).
Neutral-atom scattering factors, no anomalous dispersion.

Atomic structure:
```
data_CsCr2HgO8
_cell_length_a 5.3924
_cell_length_b 5.3924
_cell_length_c 26.3454
_cell_angle_alpha 90.00
_cell_angle_beta 90.00
_cell_angle_gamma 120.00
_symmetry_space_group_name_H-M 'R -3'
_symmetry_Int_Tables_number 148
_symmetry_space_group_name_Hall '-R 3'
loop_
_atom_site_label
_atom_site_fract_x
_atom_site_fract_y
_atom_site_fract_z
_atom_site_occupancy
Cs1 0.0000 0.0000 0.0000 1
Cr1 0.0000 0.0000 0.2382 1
Hg1 0.0000 0.0000 0.5000 1
O1 0.0000 0.0000 0.3003 1
O2 0.0128 0.3022 0.2183 1
```

Main lines, by angle (2θ from 10° to 80°):
(hkl)  2θ/deg  I (rel.)
0 0 3  10.07  15
0 0 6  20.19  29
1 0 4  23.35  100
1 1 0  33.26  64
2 -1 6  39.22  34
0 2 4  41.01  19
2 0 8  47.75  11
1 1 12  53.81  34
3 0 0  59.39  21
4 -3 4  74.71  12